Record 1
Theoretical PXRD pattern of Tl6Co3Br14 for Cu Kα, 1.54184 Å, from the PBE geometry in Alexandria.
Intensities are scaled so that the largest is 100.

Atomic structure:
a b c (Å): 11.796 11.796 6.656
angles (deg): 90.00 90.00 120.00
Fractional positions:
Tl 0.023 0.463 0.000
Tl 0.307 0.206 0.505
Tl 0.440 0.977 0.000
Tl 0.537 0.560 0.000
Tl 0.794 0.101 0.505
Tl 0.899 0.693 0.505
Co 0.000 0.000 0.075
Co 0.333 0.667 0.583
Co 0.667 0.333 0.722
Br 0.000 0.000 0.724
Br 0.074 0.212 0.201
Br 0.139 0.926 0.201
Br 0.199 0.746 0.709
Br 0.254 0.453 0.709
Br 0.333 0.667 0.232
Br 0.459 0.258 0.944
Br 0.532 0.125 0.509
Br 0.547 0.801 0.709
Br 0.593 0.468 0.509
Br 0.742 0.201 0.944
Br 0.788 0.861 0.201
Br 0.799 0.541 0.944
Br 0.875 0.407 0.509

Main lines, most intense first (10 to 90 degrees two-theta):
| 2θ/deg | d/Å | I/Imax |
| --- | --- | --- |
| 21.93 | 4.052 | 100 |
| 34.40 | 2.607 | 78 |
| 29.46 | 3.032 | 54 |
| 26.73 | 3.335 | 53 |
| 31.58 | 2.833 | 52 |
| 20.11 | 4.414 | 39 |
| 32.10 | 2.789 | 38 |
| 35.61 | 2.521 | 37 |
| 30.31 | 2.949 | 29 |
| 37.74 | 2.384 | 28 |
| 42.78 | 2.114 | 28 |
| 41.87 | 2.157 | 28 |

---

Record 2
Theoretical PXRD pattern of Pr5Te4Ir for Cu Kα, 1.54184 Å, from the PBE geometry in Alexandria.
Intensities are scaled so that the largest is 100.

Atomic structure:
a b c (Å): 16.352 16.352 16.352
angles (deg): 164.35 164.35 22.20
Fractional positions:
Pr 0.000 0.000 0.000
Pr 0.208 0.208 0.000
Pr 0.415 0.415 0.000
Pr 0.585 0.585 0.000
Pr 0.792 0.792 0.000
Te 0.104 0.104 0.000
Te 0.309 0.309 0.000
Te 0.691 0.691 0.000
Te 0.896 0.896 0.000
Ir 0.500 0.500 0.000

Main lines, most intense first (10 to 90 degrees two-theta):
| 2θ/deg | d/Å | I/Imax |
| --- | --- | --- |
| 28.36 | 3.147 | 100 |
| 40.13 | 2.247 | 58 |
| 27.80 | 3.209 | 39 |
| 40.53 | 2.226 | 38 |
| 49.86 | 1.829 | 31 |
| 73.49 | 1.289 | 29 |
| 66.42 | 1.408 | 18 |
| 66.13 | 1.413 | 13 |
| 58.66 | 1.574 | 13 |
| 32.16 | 2.783 | 12 |
| 58.44 | 1.579 | 10 |
| 36.84 | 2.440 | 9 |

---

Record 3
Theoretical PXRD pattern of Ho5InRu for Cu Kα, 1.54184 Å, from the PBE geometry in Alexandria.
Intensities are scaled so that the largest is 100.

Atomic structure:
a b c (Å): 5.907 5.907 11.745
angles (deg): 102.65 102.65 78.41
Fractional positions:
Ho 0.009 0.991 0.750
Ho 0.082 0.414 0.624
Ho 0.206 0.544 0.936
Ho 0.414 0.082 0.124
Ho 0.456 0.794 0.564
Ho 0.544 0.206 0.436
Ho 0.586 0.918 0.876
Ho 0.794 0.456 0.064
Ho 0.918 0.586 0.376
Ho 0.991 0.009 0.250
In 0.400 0.600 0.250
In 0.600 0.400 0.750
Ru 0.000 0.000 0.000
Ru 0.000 0.000 0.500

Main lines, most intense first (10 to 90 degrees two-theta):
| 2θ/deg | d/Å | I/Imax |
| --- | --- | --- |
| 32.56 | 2.750 | 100 |
| 30.98 | 2.886 | 66 |
| 33.85 | 2.648 | 54 |
| 30.84 | 2.900 | 50 |
| 31.68 | 2.824 | 48 |
| 31.45 | 2.845 | 39 |
| 37.55 | 2.395 | 31 |
| 53.75 | 1.705 | 22 |
| 40.10 | 2.249 | 21 |
| 29.10 | 3.068 | 20 |
| 53.04 | 1.727 | 18 |
| 47.93 | 1.898 | 15 |

---

Record 4
Theoretical PXRD pattern of BaAgTeO4 for Cu Kα, 1.54184 Å, from the PBE geometry in Alexandria.
Intensities are scaled so that the largest is 100.

Atomic structure:
a b c (Å): 6.638 6.638 6.638
angles (deg): 60.00 60.00 60.00
Fractional positions:
Ba 0.000 0.000 0.000
Ag 0.250 0.250 0.250
Te 0.500 0.500 0.500
O 0.384 0.384 0.384
O 0.384 0.384 0.849
O 0.384 0.849 0.384
O 0.849 0.384 0.384

Main lines, most intense first (10 to 90 degrees two-theta):
| 2θ/deg | d/Å | I/Imax |
| --- | --- | --- |
| 26.86 | 3.319 | 100 |
| 47.45 | 1.916 | 41 |
| 16.36 | 5.420 | 30 |
| 75.84 | 1.254 | 20 |
| 18.91 | 4.694 | 20 |
| 62.58 | 1.484 | 18 |
| 55.36 | 1.659 | 17 |
| 38.36 | 2.347 | 13 |
| 88.35 | 1.106 | 11 |
| 41.95 | 2.154 | 9 |
| 31.61 | 2.830 | 8 |
| 43.10 | 2.099 | 8 |

---

Record 5
Theoretical PXRD pattern of Ni2Os for Cu Kα, 1.54184 Å, from the PBE geometry in Alexandria.
Intensities are scaled so that the largest is 100.

Atomic structure:
a b c (Å): 4.427 4.427 4.427
angles (deg): 145.99 131.08 60.92
Fractional positions:
Ni 0.165 0.165 0.000
Ni 0.835 0.835 0.000
Os 0.500 0.500 0.000

Main lines, most intense first (10 to 90 degrees two-theta):
| 2θ/deg | d/Å | I/Imax |
| --- | --- | --- |
| 42.75 | 2.115 | 100 |
| 43.29 | 2.090 | 96 |
| 50.27 | 1.815 | 62 |
| 26.98 | 3.305 | 48 |
| 73.42 | 1.290 | 39 |
| 23.31 | 3.816 | 37 |
| 88.89 | 1.101 | 36 |
| 49.74 | 1.833 | 32 |
| 36.65 | 2.452 | 22 |
| 49.25 | 1.850 | 21 |
| 88.46 | 1.105 | 12 |
| 73.08 | 1.295 | 10 |